Computed powder diffractogram
Compound: Li10Mn2V3Cr3O16
Radiation: CuKα
Structure: a structure optimized by DFT (GGA+U)
Lines closer than 0.1° are merged.

Largest 8 diffraction maxima, low angle first, 2θ = 10–90°:
- 2θ = 17.75°, d = 4.996 Å, rel. 67, hkl 0 0 2
- 2θ = 19.14°, d = 4.638 Å, rel. 100, hkl 2 0 1
- 2θ = 24.63°, d = 3.615 Å, rel. 36, hkl 2 0 2
- 2θ = 34.68°, d = 2.587 Å, rel. 70, hkl 3 1 -2
- 2θ = 35.43°, d = 2.534 Å, rel. 41, hkl 4 0 1
- 2θ = 43.97°, d = 2.059 Å, rel. 78, hkl 4 0 -3
- 2θ = 44.03°, d = 2.057 Å, rel. 38, hkl 2 2 3
- 2θ = 61.27°, d = 1.513 Å, rel. 41, hkl 6 2 0

Atomic structure:
```
data_Li10Mn2V3Cr3O16
_chemical_formula_sum 'Li20 Mn4 V6 Cr6 O32'
_symmetry_space_group_name_H-M 'C 1 m 1'
_symmetry_Int_Tables_number 8
_cell_length_a 10.4896
_cell_length_b 6.0364
_cell_length_c 9.9924
_cell_angle_alpha 90.00
_cell_angle_beta 90.07
_cell_angle_gamma 90.00
loop_
_symmetry_equiv_pos_as_xyz
'x,y,z'
'x,-y,z'
'x+1/2,y+1/2,z'
'x+1/2,-y+1/2,z'
loop_
_atom_site_label
_atom_site_fract_x
_atom_site_fract_y
_atom_site_fract_z
Li1 0.0000 0.0000 0.0000
Li2 0.0012 0.0000 0.5023
Li3 0.1023 0.2976 0.9263
Li4 0.1683 0.5000 0.7121
Li5 0.2009 0.0000 0.4285
Li6 0.3062 0.5000 0.9232
Li7 0.3346 0.0000 0.2122
Li8 0.4043 0.2086 0.4241
Mn1 0.1693 0.5000 0.4631
Mn2 0.3364 0.0000 0.9617
V1 0.0852 0.2517 0.2009
V2 0.1698 0.0000 0.7014
Cr1 0.3335 0.5000 0.1999
Cr2 0.4180 0.2480 0.7001
O1 0.0077 0.5000 0.3145
O2 0.0817 0.2367 0.5869
O3 0.1583 0.0000 0.0857
O4 0.1729 0.5000 0.0803
O5 0.2477 0.2586 0.3149
O6 0.2552 0.2398 0.8144
O7 0.3400 0.0000 0.5832
O8 0.3428 0.5000 0.5865
O9 0.4230 0.2615 0.0871
O10 0.4954 0.5000 0.3160
O11 0.4956 0.0000 0.8156
O12 0.4961 0.5000 0.8132
```